Theoretical XRD peak list of Pu2ThOs9 for CuKα, from a structure optimized by DFT (GGA-PBE).

```
12
Lattice="5.2617 0.0000 0.0000 -2.5762 4.6940 0.0000 -0.0851 -3.0445 8.7287" Properties=species:S:1:pos:R:3 pbc="T T T"
Pu -0.0373 0.0317 3.6971
Pu 2.6377 1.6178 5.0316
Th 0.0000 0.0000 0.0000
Os -1.3000 2.3427 2.1943
Os 0.1451 2.8921 0.0662
Os 1.2154 -0.6477 6.4455
Os -0.0138 1.6364 6.6735
Os 2.5883 -1.5223 4.3644
Os 2.6142 0.0131 2.0552
Os 1.3851 2.2972 2.2833
Os 2.4554 -1.2426 8.6626
Os 3.9005 -0.6932 6.5345
```

The 10 most intense peaks (2θ from 5° to 70°), sorted by position:
(-1 1 2), 2θ 30.75, rel. 461; (1 -2 1), 2θ 33.53, rel. 399; (0 2 -1), 2θ 38.48, rel. 408; (1 1 1), 2θ 39.09, rel. 533; (1 1 -3), 2θ 39.28, rel. 1000; (1 -2 3), 2θ 39.69, rel. 591; (-2 1 2), 2θ 39.91, rel. 396; (2 -1 2), 2θ 40.12, rel. 357; (0 0 4), 2θ 41.38, rel. 496; (0 1 3), 2θ 42.38, rel. 350